Record 1
Starting from a cell relaxed with PBE, the powder diffractogram of Sc6GaPd12 was calculated for Cu Kα (λ = 1.5418 Å).

Top 10 peaks for 5 to 70 degrees two-theta, in order of falling intensity:
2θ (°)	I_rel
40.33	100
37.67	77
42.14	40
39.21	39
34.00	34
42.50	26
27.96	25
30.41	21
17.42	21
44.23	20

Cell and atoms:
```
Sc6GaPd12
1.0
5.091 2.939 3.684
-5.091 2.939 3.684
0.000 -5.879 3.684
Sc Ga Pd
6 1 12
Direct
0.191 0.352 0.753
0.247 0.809 0.648
0.352 0.753 0.191
0.648 0.247 0.809
0.753 0.191 0.352
0.809 0.648 0.247
0.500 0.500 0.500
0.023 0.708 0.955
0.045 0.977 0.292
0.143 0.462 0.382
0.292 0.045 0.977
0.382 0.143 0.462
0.462 0.382 0.143
0.538 0.618 0.857
0.618 0.857 0.538
0.708 0.955 0.023
0.857 0.538 0.618
0.955 0.023 0.708
0.977 0.292 0.045
```

***

Record 2
Starting from a cell relaxed with PBE, the powder diffractogram of KBa2GeSe4 was calculated for Cu Kα (λ = 1.5418 Å).

Top 10 peaks for 5 to 70 degrees two-theta, in order of falling intensity:
2θ (°)	I_rel
27.06	100
26.29	52
38.65	42
37.52	30
39.94	22
48.45	18
21.67	17
37.30	16
11.04	14
22.15	12

Cell and atoms:
```
KBa2GeSe4
1.0
8.162 -4.515 0.000
8.162 4.515 0.000
-5.376 0.000 8.017
K Ba Ge Se
2 4 2 8
Direct
0.230 0.770 0.000
0.770 0.230 0.000
0.215 0.748 0.472
0.235 0.235 0.012
0.237 0.237 0.488
0.748 0.215 0.472
0.684 0.684 0.783
0.704 0.704 0.385
0.012 0.012 0.744
0.015 0.015 0.272
0.501 0.983 0.267
0.512 0.512 0.252
0.521 0.968 0.764
0.537 0.537 0.763
0.968 0.521 0.764
0.983 0.501 0.267
```

***

Record 3
Starting from a cell relaxed with PBE, the powder diffractogram of Nd3Ho7Tm2 was calculated for Cu Kα (λ = 1.5418 Å).

Top 10 peaks for 5 to 70 degrees two-theta, in order of falling intensity:
2θ (°)	I_rel
31.26	100
30.78	57
31.84	49
34.81	41
30.93	36
33.33	35
54.44	31
31.61	30
28.62	28
61.77	24

Cell and atoms:
```
Nd3Ho7Tm2
1.0
5.812 0.000 0.000
0.000 3.555 0.000
-0.986 0.000 18.711
Nd Ho Tm
3 7 2
Direct
0.000 0.000 0.000
0.278 0.500 0.634
0.722 0.500 0.366
0.191 0.500 0.144
0.243 0.000 0.462
0.307 0.000 0.823
0.500 0.500 0.000
0.693 0.000 0.177
0.757 0.000 0.538
0.809 0.500 0.856
0.211 0.000 0.292
0.789 0.000 0.708
```

***

Record 4
Starting from a cell relaxed with PBE, the powder diffractogram of Mg4Pb7 was calculated for Cu Kα (λ = 1.5418 Å).

Top 10 peaks for 5 to 70 degrees two-theta, in order of falling intensity:
2θ (°)	I_rel
32.65	100
35.40	44
20.22	40
26.86	27
30.54	26
52.35	25
48.92	20
64.56	19
27.35	15
52.08	13

Cell and atoms:
```
Mg4Pb7
1.0
10.142 0.000 0.000
-5.071 8.783 0.000
0.000 0.000 3.512
Mg Pb
4 7
Direct
0.000 0.000 0.000
0.001 0.500 0.500
0.500 0.500 0.500
0.500 0.999 0.500
0.200 0.399 0.000
0.200 0.800 0.000
0.298 0.149 0.500
0.601 0.800 0.000
0.667 0.333 0.000
0.851 0.149 0.500
0.851 0.702 0.500
```